# CeThRh2
Calculated XRD peak list, Cu Kα, 1.54184 Å. Input: a cell relaxed with PBE.

Top 10 peaks for 2θ from 5° to 70°, low angle first:
2θ/deg  intensity
31.44  45.8
32.69  100.0
35.55  9.4
39.70  14.1
39.85  43.1
45.45  42.1
51.59  9.3
56.21  17.8
56.41  17.6
66.23  15.2

a b c (Å): 5.646 5.643 11.712
angles (deg): 90.00 103.66 90.00
Positions (direct):
Ce 0.194 0.122 0.137
Ce 0.194 0.878 0.637
Ce 0.806 0.122 0.363
Ce 0.806 0.878 0.863
Th 0.305 0.377 0.863
Th 0.305 0.623 0.363
Th 0.695 0.377 0.637
Th 0.695 0.623 0.137
Rh 0.176 0.377 0.599
Rh 0.176 0.623 0.099
Rh 0.325 0.123 0.402
Rh 0.325 0.877 0.902
Rh 0.675 0.123 0.098
Rh 0.675 0.877 0.598
Rh 0.824 0.377 0.901
Rh 0.824 0.623 0.401

# PmSc4Pt4
Calculated XRD peak list, Cu Kα, 1.54184 Å. Input: a cell relaxed with PBE.

Top 10 peaks for 2θ from 5° to 70°, low angle first:
2θ/deg  intensity
19.26  44.6
21.76  29.6
28.03  78.4
32.15  100.0
34.70  33.5
40.51  45.7
45.64  74.1
46.11  26.3
46.83  25.3
50.34  23.5

a b c (Å): 8.804 8.804 5.410
angles (deg): 90.00 90.00 90.00
Positions (direct):
Pm 0.250 0.250 0.250
Pm 0.750 0.750 0.750
Sc 0.096 0.644 0.161
Sc 0.144 0.904 0.661
Sc 0.356 0.596 0.661
Sc 0.404 0.856 0.161
Sc 0.596 0.144 0.839
Sc 0.644 0.404 0.339
Sc 0.856 0.096 0.339
Sc 0.904 0.356 0.839
Pt 0.050 0.611 0.667
Pt 0.111 0.950 0.167
Pt 0.389 0.550 0.167
Pt 0.450 0.889 0.667
Pt 0.550 0.111 0.333
Pt 0.611 0.450 0.833
Pt 0.889 0.050 0.833
Pt 0.950 0.389 0.333

# Ba2CeAgS5
Calculated XRD peak list, Cu Kα, 1.54184 Å. Input: a cell relaxed with PBE.

Top 10 peaks for 2θ from 5° to 70°, low angle first:
2θ/deg  intensity
23.05  38.9
23.98  13.9
25.86  39.6
26.77  20.3
30.29  100.0
35.54  26.5
38.98  13.0
42.10  12.0
43.22  24.1
53.63  14.3

a b c (Å): 9.353 9.353 12.776
angles (deg): 90.00 90.00 154.12
Positions (direct):
Ba 0.116 0.884 0.500
Ba 0.126 0.874 0.135
Ba 0.874 0.126 0.635
Ba 0.884 0.116 0.000
Ce 0.200 0.800 0.827
Ce 0.800 0.200 0.327
Ag 0.453 0.547 0.258
Ag 0.547 0.453 0.758
S 0.046 0.954 0.859
S 0.295 0.705 0.467
S 0.307 0.693 0.185
S 0.346 0.654 0.819
S 0.497 0.503 0.581
S 0.503 0.497 0.081
S 0.654 0.346 0.319
S 0.693 0.307 0.685
S 0.705 0.295 0.967
S 0.954 0.046 0.359

# AcTb6Y2
Calculated XRD peak list, Cu Kα, 1.54184 Å. Input: a cell relaxed with PBE.

Top 10 peaks for 2θ from 5° to 70°, low angle first:
2θ/deg  intensity
28.30  57.5
30.20  49.1
31.39  85.7
33.01  100.0
41.87  36.7
50.11  39.7
56.50  24.9
59.63  42.9
60.33  13.4
61.32  17.0

a b c (Å): 3.641 3.641 26.632
angles (deg): 90.00 90.00 120.00
Positions (direct):
Ac 0.000 0.000 0.000
Tb 0.000 0.000 0.223
Tb 0.000 0.000 0.436
Tb 0.000 0.000 0.564
Tb 0.000 0.000 0.777
Tb 0.333 0.667 0.118
Tb 0.333 0.667 0.882
Y 0.333 0.667 0.331
Y 0.333 0.667 0.669

# Dy3Ho7Tm
Calculated XRD peak list, Cu Kα, 1.54184 Å. Input: a cell relaxed with PBE.

Top 10 peaks for 2θ from 5° to 70°, low angle first:
2θ/deg  intensity
25.45  18.6
28.76  12.6
31.14  39.2
32.36  30.9
33.09  100.0
40.63  10.8
45.52  24.1
56.65  21.7
59.56  8.0
63.28  18.2

a b c (Å): 8.334 8.334 5.745
angles (deg): 110.11 110.11 83.27
Positions (direct):
Dy 0.000 0.000 0.000
Dy 0.208 0.792 0.500
Dy 0.792 0.208 0.500
Ho 0.003 0.599 0.801
Ho 0.208 0.208 0.706
Ho 0.401 0.997 0.199
Ho 0.500 0.500 0.500
Ho 0.599 0.003 0.801
Ho 0.792 0.792 0.294
Ho 0.997 0.401 0.199
Tm 0.500 0.500 0.000

# Pm3Nd7In
Calculated XRD peak list, Cu Kα, 1.54184 Å. Input: a cell relaxed with PBE.

Top 10 peaks for 2θ from 5° to 70°, low angle first:
2θ/deg  intensity
14.30  4.2
17.55  5.7
24.92  3.6
30.64  100.0
35.52  50.7
51.11  35.6
60.76  31.6
60.85  10.5
63.75  9.2
63.91  2.9

a b c (Å): 7.154 7.154 8.740
angles (deg): 90.00 90.00 120.00
Positions (direct):
Pm 0.000 0.500 0.000
Pm 0.500 0.000 0.000
Pm 0.500 0.500 0.000
Nd 0.169 0.338 0.343
Nd 0.169 0.831 0.343
Nd 0.337 0.169 0.668
Nd 0.662 0.831 0.343
Nd 0.667 0.333 0.331
Nd 0.831 0.169 0.668
Nd 0.831 0.663 0.668
In 0.333 0.667 0.674